Record 1
Structure and simulated XRD peak list of SmDy2Ir (a PBE-relaxed structure; Cu Kα).
Neutral-atom scattering factors, no anomalous dispersion.

The 10 most intense peaks (5 to 70 degrees two-theta), by angle:
29.8 deg, I = 23.8; 31.1 deg, I = 33.4; 31.9 deg, I = 100.0; 34.2 deg, I = 93.0; 36.0 deg, I = 27.1; 38.0 deg, I = 32.6; 39.8 deg, I = 24.1; 48.3 deg, I = 23.0; 53.3 deg, I = 22.3; 58.8 deg, I = 19.7

Structural model:
a b c (Å): 7.269 9.375 6.435
angles (deg): 90.00 90.00 90.00
Fractional coordinates of all 16 atoms:
Sm: 0.034 0.250 0.134
Sm: 0.466 0.750 0.634
Sm: 0.534 0.250 0.366
Sm: 0.966 0.750 0.866
Dy: 0.176 0.064 0.671
Dy: 0.176 0.436 0.671
Dy: 0.324 0.564 0.171
Dy: 0.324 0.936 0.171
Dy: 0.676 0.064 0.829
Dy: 0.676 0.436 0.829
Dy: 0.824 0.564 0.329
Dy: 0.824 0.936 0.329
Ir: 0.118 0.750 0.441
Ir: 0.382 0.250 0.941
Ir: 0.618 0.750 0.059
Ir: 0.882 0.250 0.559

=====

Record 2
Structure and simulated XRD peak list of Sm2Dy2Ir3 (a PBE-relaxed structure; Cu Kα).
Neutral-atom scattering factors, no anomalous dispersion.

The 10 most intense peaks (5 to 70 degrees two-theta), by angle:
11.0 deg, I = 19.3; 21.5 deg, I = 8.1; 22.5 deg, I = 8.8; 36.6 deg, I = 100.0; 37.2 deg, I = 96.2; 38.9 deg, I = 5.8; 53.2 deg, I = 34.6; 65.6 deg, I = 18.4; 66.7 deg, I = 35.2; 67.0 deg, I = 17.4

Structural model:
a b c (Å): 8.543 8.543 8.543
angles (deg): 32.89 32.89 32.89
Fractional coordinates of all 7 atoms:
Sm: 0.124 0.124 0.124
Sm: 0.876 0.876 0.876
Dy: 0.375 0.375 0.375
Dy: 0.625 0.625 0.625
Ir: 0.000 0.000 0.000
Ir: 0.252 0.252 0.252
Ir: 0.748 0.748 0.748